The following is a theoretical X-ray powder pattern of Tb6Pm8Tl. It was derived from the PBE geometry in Alexandria, using Cu Kα.
Lines closer than 0.1° are merged.

Structure:
Unit cell a=9.3971 b=9.3971 c=6.5234 alpha=90.00 beta=90.00 gamma=120.00
Space group P-3 (No. 147)
Asymmetric unit:
Tb1 0.0964 0.4499 0.3304 (multiplicity 6)
Pm1 0.0413 0.2709 0.8189 (multiplicity 6)
Pm2 0.3333 0.6667 0.8509 (multiplicity 2)
Tl1 0.0000 0.0000 0.5000 (multiplicity 1)

The 12 most intense peaks (10° ≤ 2θ ≤ 90°), in order of rising 2θ:
| index | 2θ (°) | Rel. int. |
| --- | --- | --- |
| 2 0 1 | 25.8 | 21 |
| 0 0 2 | 27.3 | 9 |
| 2 1 0 | 29.0 | 24 |
| 1 0 2 | 29.5 | 17 |
| 3 -2 1 | 32.2 | 100 |
| 3 0 0 | 33.0 | 9 |
| 1 1 2 | 33.4 | 30 |
| 2 1 2 | 40.3 | 11 |
| 3 2 1 | 50.9 | 11 |
| 1 4 0 | 51.5 | 24 |
| 4 -1 3 | 59.0 | 8 |
| 4 2 1 | 62.0 | 11 |



The following is a theoretical X-ray powder pattern of Tb2Pm3Tl4. It was derived from the PBE geometry in Alexandria, using Cu Kα.
Lines closer than 0.1° are merged.

Structure:
Unit cell a=9.3089 b=5.3803 c=10.5495 alpha=90.00 beta=90.07 gamma=90.00
Space group C2/m (No. 12)
Asymmetric unit:
Tb1 0.1670 0.0000 0.2785 (multiplicity 4)
Pm1 0.0000 0.5000 0.5000 (multiplicity 2)
Pm2 0.1666 0.0000 0.9217 (multiplicity 4)
Tl1 0.0001 0.5000 0.1557 (multiplicity 4)
Tl2 0.1664 0.0000 0.6015 (multiplicity 4)

The 12 most intense peaks (10° ≤ 2θ ≤ 90°), in order of rising 2θ:
| index | 2θ (°) | Rel. int. |
| --- | --- | --- |
| 2 0 1 | 20.9 | 5 |
| 1 1 3 | 31.9 | 100 |
| 3 1 0 | 33.3 | 93 |
| 4 0 3 | 46.8 | 35 |
| 2 0 6 | 55.9 | 19 |
| 4 2 3 | 58.7 | 36 |
| 6 0 0 | 59.6 | 18 |
| 4 0 -6 | 66.7 | 11 |
| 6 2 0 | 70.0 | 11 |
| 4 2 -6 | 76.6 | 10 |
| 5 3 -3 | 78.9 | 10 |
| 8 0 -3 | 88.5 | 6 |



The following is a theoretical X-ray powder pattern of TbPm9Tl2. It was derived from the PBE geometry in Alexandria, using Cu Kα.
Lines closer than 0.1° are merged.

Structure:
Unit cell a=4.9788 b=4.9788 c=15.3280 alpha=90.00 beta=90.00 gamma=90.00
Space group P4/mmm (No. 123)
Asymmetric unit:
Tb1 0.0000 0.0000 0.0000 (multiplicity 1)
Pm1 0.0000 0.5000 0.1724 (multiplicity 4)
Pm2 0.0000 0.5000 0.5000 (multiplicity 2)
Pm3 0.5000 0.5000 0.0000 (multiplicity 1)
Pm4 0.5000 0.5000 0.3371 (multiplicity 2)
Tl1 0.0000 0.0000 0.3393 (multiplicity 2)

The 12 most intense peaks (10° ≤ 2θ ≤ 90°), in order of rising 2θ:
| index | 2θ (°) | Rel. int. |
| --- | --- | --- |
| 1 1 3 | 30.8 | 100 |
| 0 0 6 | 35.1 | 17 |
| 2 0 0 | 36.1 | 33 |
| 2 0 6 | 51.2 | 24 |
| 2 2 0 | 51.9 | 12 |
| 1 1 9 | 60.4 | 14 |
| 3 1 3 | 61.6 | 28 |
| 2 2 6 | 64.3 | 12 |
| 3 1 9 | 83.6 | 11 |
| 3 3 3 | 84.8 | 6 |
| 4 0 6 | 87.1 | 5 |
| 4 2 0 | 87.7 | 5 |



The following is a theoretical X-ray powder pattern of Tb3Pm2Tl3. It was derived from the PBE geometry in Alexandria, using Cu Kα.
Lines closer than 0.1° are merged.

Structure:
Unit cell a=4.9814 b=5.0415 c=9.2470 alpha=90.00 beta=90.00 gamma=90.00
Space group Pmmm (No. 47)
Asymmetric unit:
Tb1 0.0000 0.0000 0.0000 (multiplicity 1)
Tb2 0.0000 0.5000 0.2677 (multiplicity 2)
Pm1 0.5000 0.0000 0.2574 (multiplicity 2)
Tl1 0.0000 0.0000 0.5000 (multiplicity 1)
Tl2 0.5000 0.5000 0.0000 (multiplicity 1)
Tl3 0.5000 0.5000 0.5000 (multiplicity 1)

The 12 most intense peaks (10° ≤ 2θ ≤ 90°), in order of rising 2θ:
| index | 2θ (°) | Rel. int. |
| --- | --- | --- |
| 1 1 2 | 31.8 | 100 |
| 0 2 0 | 35.6 | 19 |
| 2 0 0 | 36.1 | 18 |
| 0 0 4 | 39.0 | 14 |
| 2 2 0 | 51.6 | 13 |
| 0 2 4 | 53.8 | 11 |
| 2 0 4 | 54.1 | 11 |
| 1 3 2 | 61.6 | 15 |
| 3 1 2 | 62.2 | 15 |
| 1 1 6 | 66.1 | 11 |
| 2 2 4 | 66.5 | 12 |
| 0 4 4 | 88.3 | 8 |



The following is a theoretical X-ray powder pattern of Tb2Pm9Tl. It was derived from the PBE geometry in Alexandria, using Cu Kα.
Lines closer than 0.1° are merged.

Structure:
Unit cell a=5.0413 b=5.0413 c=15.4729 alpha=90.00 beta=90.00 gamma=90.00
Space group P4/mmm (No. 123)
Asymmetric unit:
Tb1 0.0000 0.0000 0.1685 (multiplicity 2)
Pm1 0.0000 0.5000 0.0000 (multiplicity 2)
Pm2 0.0000 0.5000 0.3380 (multiplicity 4)
Pm3 0.5000 0.5000 0.1702 (multiplicity 2)
Pm4 0.5000 0.5000 0.5000 (multiplicity 1)
Tl1 0.0000 0.0000 0.5000 (multiplicity 1)

The 12 most intense peaks (10° ≤ 2θ ≤ 90°), in order of rising 2θ:
| index | 2θ (°) | Rel. int. |
| --- | --- | --- |
| 1 1 3 | 30.5 | 100 |
| 0 0 6 | 34.8 | 17 |
| 2 0 0 | 35.6 | 33 |
| 2 0 6 | 50.6 | 24 |
| 2 2 0 | 51.3 | 12 |
| 1 1 9 | 59.7 | 14 |
| 3 1 3 | 60.8 | 28 |
| 2 2 6 | 63.4 | 12 |
| 3 1 9 | 82.5 | 12 |
| 3 3 3 | 83.5 | 6 |
| 4 0 6 | 85.8 | 5 |
| 4 2 0 | 86.3 | 5 |



The following is a theoretical X-ray powder pattern of TbPmTm2Tl2. It was derived from the PBE geometry in Alexandria, using Cu Kα.
Lines closer than 0.1° are merged.

Structure:
Unit cell a=5.1058 b=10.0140 c=6.7839 alpha=90.00 beta=90.00 gamma=90.00
Space group Pmc2_1 (No. 26)
Asymmetric unit:
Tb1 0.0000 0.1913 0.0000 (multiplicity 2)
Pm1 0.5000 0.0406 0.2768 (multiplicity 2)
Tm1 0.0000 0.4586 0.3683 (multiplicity 2)
Tm2 0.5000 0.3179 0.6521 (multiplicity 2)
Tl1 0.0000 0.1417 0.5346 (multiplicity 2)
Tl2 0.5000 0.3700 0.1148 (multiplicity 2)

The 12 most intense peaks (10° ≤ 2θ ≤ 90°), in order of rising 2θ:
| index | 2θ (°) | Rel. int. |
| --- | --- | --- |
| 0 3 1 | 29.8 | 17 |
| 1 0 2 | 31.7 | 55 |
| 0 2 2 | 31.9 | 23 |
| 1 3 0 | 32.0 | 100 |
| 1 1 2 | 32.9 | 79 |
| 1 3 1 | 34.7 | 31 |
| 2 0 0 | 35.2 | 57 |
| 0 3 2 | 37.8 | 24 |
| 2 2 2 | 48.2 | 15 |
| 2 3 2 | 52.6 | 19 |
| 3 3 0 | 61.1 | 16 |
| 3 1 2 | 61.7 | 13 |



The following is a theoretical X-ray powder pattern of Tb2PmYTl2. It was derived from the PBE geometry in Alexandria, using Cu Kα.
Lines closer than 0.1° are merged.

Structure:
Unit cell a=5.1597 b=10.0799 c=6.8342 alpha=90.00 beta=90.00 gamma=90.00
Space group Pmc2_1 (No. 26)
Asymmetric unit:
Tb1 0.0000 0.0436 0.0000 (multiplicity 2)
Tb2 0.5000 0.1831 0.2815 (multiplicity 2)
Pm1 0.5000 0.4582 0.9097 (multiplicity 2)
Y1 0.0000 0.3103 0.6316 (multiplicity 2)
Tl1 0.0000 0.3640 0.1690 (multiplicity 2)
Tl2 0.5000 0.1346 0.7465 (multiplicity 2)

The 12 most intense peaks (10° ≤ 2θ ≤ 90°), in order of rising 2θ:
| index | 2θ (°) | Rel. int. |
| --- | --- | --- |
| 0 3 1 | 29.6 | 18 |
| 1 0 2 | 31.4 | 53 |
| 0 2 2 | 31.6 | 23 |
| 1 3 0 | 31.8 | 100 |
| 1 1 2 | 32.7 | 90 |
| 1 3 1 | 34.5 | 34 |
| 2 0 0 | 34.8 | 59 |
| 0 3 2 | 37.5 | 22 |
| 1 3 2 | 41.5 | 16 |
| 2 3 2 | 52.1 | 18 |
| 3 3 0 | 60.5 | 16 |
| 3 1 2 | 61.0 | 15 |



The following is a theoretical X-ray powder pattern of Tb3Pm2Tm3. It was derived from the PBE geometry in Alexandria, using Cu Kα.
Lines closer than 0.1° are merged.

Structure:
Unit cell a=16.7961 b=3.6525 c=8.3979 alpha=90.00 beta=90.00 gamma=90.00
Space group Pmma (No. 51)
Asymmetric unit:
Tb1 0.0191 0.0000 0.2112 (multiplicity 4)
Tb2 0.2500 0.0000 0.2605 (multiplicity 2)
Pm1 0.1452 0.5000 0.9461 (multiplicity 4)
Tm1 0.1020 0.5000 0.5127 (multiplicity 4)
Tm2 0.2500 0.0000 0.6646 (multiplicity 2)

The 12 most intense peaks (10° ≤ 2θ ≤ 90°), in order of rising 2θ:
| index | 2θ (°) | Rel. int. |
| --- | --- | --- |
| 2 1 1 | 28.7 | 16 |
| 4 0 2 | 30.1 | 43 |
| 4 1 0 | 32.5 | 100 |
| 6 0 1 | 33.8 | 22 |
| 8 0 0 | 43.1 | 9 |
| 0 2 0 | 49.9 | 9 |
| 6 1 3 | 52.6 | 10 |
| 8 1 2 | 55.0 | 12 |
| 4 2 2 | 59.4 | 12 |
| 6 2 1 | 61.6 | 8 |
| 10 1 1 | 61.8 | 12 |
| 4 3 0 | 82.5 | 7 |



The following is a theoretical X-ray powder pattern of Tb4Pm19Tm6. It was derived from the PBE geometry in Alexandria, using Cu Kα.
Lines closer than 0.1° are merged.

Structure:
Unit cell a=12.6222 b=12.6222 c=12.6222 alpha=90.00 beta=90.00 gamma=90.00
Space group I23 (No. 197)
Asymmetric unit:
Tb1 0.1800 0.1800 0.1800 (multiplicity 8)
Pm1 0.0000 0.0000 0.0000 (multiplicity 2)
Pm2 0.0000 0.0000 0.2617 (multiplicity 12)
Pm3 0.0618 0.2801 0.7361 (multiplicity 24)
Tm1 0.0000 0.1248 0.5000 (multiplicity 12)

The 12 most intense peaks (10° ≤ 2θ ≤ 90°), in order of rising 2θ:
| index | 2θ (°) | Rel. int. |
| --- | --- | --- |
| 3 2 1 | 26.4 | 49 |
| 4 0 0 | 28.3 | 55 |
| 4 1 1 | 30.0 | 100 |
| 3 3 2 | 33.3 | 17 |
| 4 2 2 | 34.8 | 39 |
| 4 3 1 | 36.3 | 74 |
| 4 3 3 | 41.7 | 24 |
| 6 1 3 | 48.9 | 17 |
| 6 3 3 | 53.3 | 25 |
| 7 4 1 | 59.5 | 29 |
| 8 2 0 | 60.5 | 24 |
| 8 1 5 | 70.8 | 18 |



The following is a theoretical X-ray powder pattern of Tb2Pm3Tm. It was derived from the PBE geometry in Alexandria, using Cu Kα.
Lines closer than 0.1° are merged.

Structure:
Unit cell a=7.2316 b=7.2381 c=8.9463 alpha=78.17 beta=78.14 gamma=60.17
Space group P-1 (No. 2)
Asymmetric unit:
Tb1 0.1367 0.1384 0.1700 (multiplicity 2)
Tb2 0.1376 0.6388 0.1669 (multiplicity 2)
Pm1 0.2491 0.2503 0.4985 (multiplicity 2)
Pm2 0.3609 0.3615 0.8313 (multiplicity 2)
Pm3 0.3611 0.8615 0.8347 (multiplicity 2)
Tm1 0.2491 0.7509 0.4992 (multiplicity 2)

The 12 most intense peaks (10° ≤ 2θ ≤ 90°), in order of rising 2θ:
| index | 2θ (°) | Rel. int. |
| --- | --- | --- |
| 2 2 1 | 28.7 | 37 |
| 0 0 3 | 30.9 | 49 |
| 2 0 -1 | 31.7 | 100 |
| 2 0 2 | 33.3 | 58 |
| 2 2 -1 | 33.5 | 28 |
| 2 -2 0 | 50.3 | 13 |
| 4 2 1 | 50.5 | 25 |
| 2 0 -4 | 54.3 | 15 |
| 2 0 5 | 57.5 | 12 |
| 4 2 4 | 60.2 | 30 |
| 4 2 -2 | 60.4 | 15 |
| 4 4 3 | 61.8 | 15 |



The following is a theoretical X-ray powder pattern of Tb2Pm3Tm2. It was derived from the PBE geometry in Alexandria, using Cu Kα.
Lines closer than 0.1° are merged.

Structure:
Unit cell a=3.5464 b=5.7549 c=22.6882 alpha=90.00 beta=90.00 gamma=90.00
Space group Immm (No. 71)
Asymmetric unit:
Tb1 0.0000 0.0000 0.0842 (multiplicity 4)
Pm1 0.0000 0.5000 0.0000 (multiplicity 2)
Pm2 0.0000 0.5000 0.2751 (multiplicity 4)
Tm1 0.0000 0.0000 0.3637 (multiplicity 4)

The 12 most intense peaks (10° ≤ 2θ ≤ 90°), in order of rising 2θ:
| index | 2θ (°) | Rel. int. |
| --- | --- | --- |
| 1 0 3 | 27.8 | 34 |
| 0 2 0 | 31.1 | 48 |
| 0 1 7 | 31.7 | 77 |
| 1 1 4 | 33.6 | 100 |
| 1 2 3 | 42.2 | 22 |
| 1 0 11 | 51.2 | 23 |
| 2 0 0 | 51.5 | 12 |
| 0 3 7 | 55.7 | 16 |
| 1 3 4 | 56.9 | 22 |
| 1 2 11 | 61.1 | 26 |
| 2 2 0 | 61.4 | 14 |
| 2 1 7 | 61.8 | 25 |



The following is a theoretical X-ray powder pattern of TbPm4Tm10. It was derived from the PBE geometry in Alexandria, using Cu Kα.
Lines closer than 0.1° are merged.

Structure:
Unit cell a=12.1239 b=12.1239 c=7.6463 alpha=90.00 beta=90.00 gamma=90.00
Space group I4/m (No. 87)
Asymmetric unit:
Tb1 0.0000 0.0000 0.0000 (multiplicity 2)
Pm1 0.1006 0.2990 0.5000 (multiplicity 8)
Tm1 0.0000 0.5000 0.2500 (multiplicity 4)
Tm2 0.0989 0.8010 0.2483 (multiplicity 16)

The 12 most intense peaks (10° ≤ 2θ ≤ 90°), in order of rising 2θ:
| index | 2θ (°) | Rel. int. |
| --- | --- | --- |
| 2 1 1 | 20.1 | 22 |
| 1 3 0 | 23.2 | 18 |
| 4 2 0 | 33.1 | 100 |
| 5 0 1 | 39.0 | 12 |
| 4 2 2 | 40.8 | 6 |
| 2 6 0 | 47.4 | 12 |
| 0 0 4 | 47.6 | 6 |
| 6 3 1 | 52.0 | 5 |
| 7 1 2 | 59.1 | 38 |
| 2 6 4 | 69.4 | 8 |
| 10 0 0 | 79.0 | 11 |
| 1 3 6 | 79.2 | 5 |